Diffraction record for CeAl5Ag7. The powder XRD pattern is computed, not measured: it uses a cell relaxed with PBE and Cu Kα X-rays.
Lines closer than 0.1° are merged.

Cell: 5.407 9.407 9.277 Å, 90.00 90.00 90.00°
Space group Imm2 (No. 44)
Unique sites:
1 Ce 0.000 0.000 0.000
2 Al 0.000 0.500 0.277
3 Al 0.248 0.254 0.749
4 Ag 0.000 0.000 0.348
5 Ag 0.000 0.000 0.663
6 Ag 0.000 0.292 0.494
7 Ag 0.000 0.346 0.006
8 Ag 0.000 0.500 0.722

Most intense lines, 5 to 70 degrees two-theta, most intense first:
h k l, d (Å), two_theta, intensity
1 2 3, 2.333, 38.6, 100
1 3 2, 2.342, 38.4, 90
1 3 0, 2.712, 33.0, 68
2 0 0, 2.703, 33.1, 66
1 0 3, 2.684, 33.4, 37
2 2 2, 2.092, 43.2, 37
0 2 2, 3.307, 27.0, 33
0 0 4, 2.319, 38.8, 25
0 0 2, 4.639, 19.1, 24
1 1 4, 2.079, 43.5, 23

***

Diffraction record for Tb8Er4Pu. The powder XRD pattern is computed, not measured: it uses a cell relaxed with PBE and Cu Kα X-rays.
Lines closer than 0.1° are merged.

Cell: 10.8967 10.8967 13.3054 Å, 90.00 90.00 120.00°
Space group R-3m (No. 166, hexagonal axes)
Unique sites:
1 Tb 0.0000 0.0000 0.2445
2 Tb 0.0072 0.5036 0.7478
3 Er 0.0000 0.0000 0.0000
4 Er 0.0000 0.5000 0.0000
5 Pu 0.0000 0.0000 0.5000

Most intense lines, 5 to 70 degrees two-theta, most intense first:
h k l, d (Å), two_theta, intensity
2 2 0, 2.721, 32.9, 100
6 0 0, 1.572, 58.7, 29
4 0 4, 1.924, 47.2, 18
2 0 8, 1.569, 58.9, 9
0 0 3, 4.444, 20.0, 9
1 1 0, 5.443, 16.3, 6
1 1 3, 3.442, 25.9, 6
4 4 0, 1.362, 68.9, 6
0 4 8, 1.359, 69.1, 6
2 2 3, 2.321, 38.8, 5

***

Diffraction record for Li2ErGaAu2. The powder XRD pattern is computed, not measured: it uses a cell relaxed with PBE and Cu Kα X-rays.
Lines closer than 0.1° are merged.

Cell: 4.4762 4.4762 6.2557 Å, 90.00 90.00 120.00°
Space group P-3m1 (No. 164)
Unique sites:
1 Li 0.3333 0.6667 0.1728
2 Er 0.0000 0.0000 0.5000
3 Ga 0.0000 0.0000 0.0000
4 Au 0.3333 0.6667 0.7538

Most intense lines, 5 to 70 degrees two-theta, most intense first:
h k l, d (Å), two_theta, intensity
0 1 1, 3.295, 27.1, 100
1 0 2, 2.434, 36.9, 71
1 1 0, 2.238, 40.3, 60
0 2 2, 1.648, 55.8, 22
2 0 1, 1.851, 49.2, 20
1 0 3, 1.836, 49.6, 20
1 2 1, 1.427, 65.4, 17
0 2 3, 1.420, 65.8, 9
0 0 4, 1.564, 59.1, 6
1 1 2, 1.820, 50.1, 4

***

Diffraction record for La8Ge3I3O. The powder XRD pattern is computed, not measured: it uses a cell relaxed with PBE and Cu Kα X-rays.
Lines closer than 0.1° are merged.

Cell: 8.5964 8.5964 23.6327 Å, 90.00 90.00 120.00°
Space group R-3m (No. 166, hexagonal axes)
Unique sites:
1 La 0.0000 0.0000 0.2348
2 La 0.0357 0.5179 0.2292
3 Ge 0.0000 0.5000 0.5000
4 I 0.0000 0.5000 0.0000
5 O 0.0000 0.0000 0.5000

Most intense lines, 5 to 70 degrees two-theta, most intense first:
h k l, d (Å), two_theta, intensity
0 2 4, 3.149, 28.3, 100
2 2 0, 2.149, 42.0, 36
2 0 8, 2.314, 38.9, 26
2 0 5, 2.924, 30.6, 18
4 0 4, 1.775, 51.5, 16
2 2 9, 1.663, 55.2, 12
2 4 4, 1.369, 68.6, 12
1 0 1, 7.101, 12.5, 11
0 0 9, 2.626, 34.1, 10
0 2 7, 2.501, 35.9, 9

***

What did the first record say?
Diffraction record for CeAl5Ag7. The powder XRD pattern is computed, not measured: it uses a cell relaxed with PBE and Cu Kα X-rays.
Lines closer than 0.1° are merged.

Cell: 5.407 9.407 9.277 Å, 90.00 90.00 90.00°
Space group Imm2 (No. 44)
Unique sites:
1 Ce 0.000 0.000 0.000
2 Al 0.000 0.500 0.277
3 Al 0.248 0.254 0.749
4 Ag 0.000 0.000 0.348
5 Ag 0.000 0.000 0.663
6 Ag 0.000 0.292 0.494
7 Ag 0.000 0.346 0.006
8 Ag 0.000 0.500 0.722

Most intense lines, 5 to 70 degrees two-theta, most intense first:
h k l, d (Å), two_theta, intensity
1 2 3, 2.333, 38.6, 100
1 3 2, 2.342, 38.4, 90
1 3 0, 2.712, 33.0, 68
2 0 0, 2.703, 33.1, 66
1 0 3, 2.684, 33.4, 37
2 2 2, 2.092, 43.2, 37
0 2 2, 3.307, 27.0, 33
0 0 4, 2.319, 38.8, 25
0 0 2, 4.639, 19.1, 24
1 1 4, 2.079, 43.5, 23